For MgTl4W2O8, a cell relaxed with PBE+U gives the simulated powder diffraction line list in this record (Cu Kα).
Intensities are scaled so that the largest is 1000.

Crystal structure
```
data_MgTl4W2O8
_cell_length_a 6.3561
_cell_length_b 6.3561
_cell_length_c 9.9436
_cell_angle_alpha 90.00
_cell_angle_beta 90.00
_cell_angle_gamma 120.00
_space_group_name_H-M_alt 'P 3 m 1'
_space_group_IT_number 156
_space_group_name_Hall 'P 3 -2"'
loop_
_atom_site_label
_atom_site_type_symbol
_atom_site_fract_x
_atom_site_fract_y
_atom_site_fract_z
Mg1 Mg 0.0000 0.0000 0.0000
Tl1 Tl 0.0000 0.0000 0.3227
Tl2 Tl 0.0000 0.0000 0.6963
Tl3 Tl 0.3333 0.6667 0.0088
Tl4 Tl 0.6667 0.3333 0.4835
W1 W 0.3333 0.6667 0.5607
W2 W 0.6667 0.3333 0.9075
O1 O 0.1765 0.3529 0.4987
O2 O 0.3333 0.6667 0.7405
O3 O 0.3395 0.1698 0.9874
O4 O 0.6667 0.3333 0.7114
```

Top 8 peaks for 2θ from 10° to 90°, in order of rising 2θ:
(hkl)	two_theta	I (rel.)
1 0 2	24.12	753
1 1 0	28.08	1000
1 0 3	31.51	302
0 2 2	37.34	290
0 2 3	42.70	167
2 1 2	47.37	250
3 0 0	49.69	212
2 2 0	58.06	184